Record 1
Starting from a crystal structure in the Materials Project, relaxed with GGA+U, the X-ray powder pattern of Ca8Mn6Cr2O23 was calculated for Cu Kα (λ = 1.5418 Å).
No peak broadening, texture or thermal motion is included.

Cell lengths 7.5906, 7.6627, 7.6435 Å; angles 90.00, 90.00, 90.00 degrees
Atoms (fractional coordinates):
1 Ca 0.2369 0.2385 0.0000
2 Ca 0.2369 0.7615 0.0000
3 Ca 0.2398 0.2452 0.4895
4 Ca 0.2398 0.7548 0.4895
5 Ca 0.7602 0.2452 0.4895
6 Ca 0.7602 0.7548 0.4895
7 Ca 0.7631 0.2385 0.0000
8 Ca 0.7631 0.7615 0.0000
9 Mn 0.0000 0.0000 0.2437
10 Mn 0.0000 0.0000 0.7423
11 Mn 0.0000 0.5000 0.2450
12 Mn 0.0000 0.5000 0.7384
13 Mn 0.5000 0.0000 0.2454
14 Mn 0.5000 0.5000 0.2368
15 Cr 0.5000 0.0000 0.7362
16 Cr 0.5000 0.5000 0.7481
17 O 0.0000 0.0000 0.4926
18 O 0.0000 0.0000 0.9917
19 O 0.0000 0.2507 0.2349
20 O 0.0000 0.2509 0.7471
21 O 0.0000 0.5000 0.4902
22 O 0.0000 0.5000 0.9904
23 O 0.0000 0.7493 0.2349
24 O 0.0000 0.7491 0.7471
25 O 0.2510 0.0000 0.2357
26 O 0.2519 0.0000 0.7471
27 O 0.2528 0.5000 0.2686
28 O 0.2606 0.5000 0.7028
29 O 0.5000 0.0000 0.4932
30 O 0.5000 0.0000 0.9909
31 O 0.5000 0.2523 0.2670
32 O 0.5000 0.2588 0.7101
33 O 0.5000 0.5000 0.9817
34 O 0.5000 0.7412 0.7101
35 O 0.5000 0.7477 0.2670
36 O 0.7394 0.5000 0.7028
37 O 0.7472 0.5000 0.2686
38 O 0.7481 0.0000 0.7471
39 O 0.7490 0.0000 0.2357

Largest 12 diffraction maxima, sorted by position, 10° ≤ 2θ ≤ 80°:
- 23.25°, rel. 18
- 23.44°, rel. 8
- 33.11°, rel. 53
- 33.25°, rel. 100
- 40.96°, rel. 8
- 47.46°, rel. 26
- 47.59°, rel. 24
- 47.94°, rel. 25
- 59.23°, rel. 36
- 59.50°, rel. 17
- 69.48°, rel. 13
- 69.80°, rel. 25


Record 2
Starting from a crystal structure in the Materials Project, relaxed with GGA+U, the X-ray powder pattern of Ca8Mn7CrO20 was calculated for Cu Kα (λ = 1.5418 Å).
No peak broadening, texture or thermal motion is included.

Cell lengths 7.8458, 7.8458, 7.6482 Å; angles 91.50, 91.50, 90.73 degrees
Atoms (fractional coordinates):
1 Ca 0.0000 0.0000 0.0000
2 Ca 0.0049 0.5231 0.0022
3 Ca 0.5097 0.5097 0.0161
4 Ca 0.5231 0.0049 0.0022
5 Ca 0.5281 0.5281 0.4818
6 Ca 0.5330 0.9993 0.4501
7 Ca 0.9851 0.9851 0.4344
8 Ca 0.9993 0.5330 0.4501
9 Mn 0.2522 0.2522 0.2663
10 Mn 0.2538 0.7467 0.2332
11 Mn 0.2541 0.7660 0.7469
12 Mn 0.7467 0.2538 0.2332
13 Mn 0.7523 0.7523 0.2316
14 Mn 0.7543 0.7543 0.7392
15 Mn 0.7660 0.2541 0.7469
16 Cr 0.2355 0.2355 0.7343
17 O 0.0003 0.7530 0.7849
18 O 0.0023 0.2455 0.2455
19 O 0.0295 0.2919 0.8112
20 O 0.2230 0.7466 0.4934
21 O 0.2407 0.4941 0.2322
22 O 0.2455 0.0023 0.2455
23 O 0.2667 0.6899 0.9801
24 O 0.2919 0.0295 0.8112
25 O 0.3205 0.3205 0.5403
26 O 0.4941 0.2407 0.2322
27 O 0.5041 0.7371 0.7433
28 O 0.5100 0.7537 0.2342
29 O 0.6899 0.2667 0.9801
30 O 0.7371 0.5041 0.7433
31 O 0.7466 0.2230 0.4934
32 O 0.7530 0.0003 0.7849
33 O 0.7537 0.5100 0.2342
34 O 0.7569 0.9935 0.2037
35 O 0.7717 0.7717 0.4858
36 O 0.9935 0.7569 0.2037

Largest 12 diffraction maxima, sorted by position, 10° ≤ 2θ ≤ 80°:
- 22.68°, rel. 25
- 23.28°, rel. 18
- 32.06°, rel. 46
- 32.27°, rel. 100
- 32.51°, rel. 41
- 33.16°, rel. 95
- 46.31°, rel. 79
- 47.59°, rel. 31
- 57.28°, rel. 35
- 57.86°, rel. 18
- 58.97°, rel. 17
- 67.54°, rel. 17


Record 3
Starting from a crystal structure in the Materials Project, relaxed with GGA+U, the X-ray powder pattern of Ca8Mn6Cr2O21 was calculated for Cu Kα (λ = 1.5418 Å).
No peak broadening, texture or thermal motion is included.

Cell lengths 7.6972, 7.7856, 7.7852 Å; angles 90.00, 90.23, 90.00 degrees
Atoms (fractional coordinates):
1 Ca 0.0000 0.2284 0.0000
2 Ca 0.0000 0.7716 0.0000
3 Ca 0.4385 0.2425 0.4721
4 Ca 0.4385 0.7575 0.4721
5 Ca 0.4474 0.2345 0.9664
6 Ca 0.4474 0.7655 0.9664
7 Ca 0.9748 0.2543 0.4806
8 Ca 0.9748 0.7457 0.4806
9 Mn 0.1926 0.5000 0.7423
10 Mn 0.1974 0.0000 0.7349
11 Mn 0.1995 0.0000 0.2403
12 Mn 0.2166 0.5000 0.2455
13 Mn 0.6873 0.0000 0.7268
14 Mn 0.7038 0.0000 0.2323
15 Cr 0.6949 0.5000 0.2135
16 Cr 0.7068 0.5000 0.7551
17 O 0.1969 0.2517 0.7475
18 O 0.1969 0.7483 0.7475
19 O 0.2023 0.0000 0.4835
20 O 0.2086 0.5000 0.4969
21 O 0.2123 0.5000 0.9918
22 O 0.2130 0.0000 0.9941
23 O 0.2217 0.2441 0.2343
24 O 0.2217 0.7559 0.2343
25 O 0.4409 0.0000 0.7451
26 O 0.4637 0.5000 0.3013
27 O 0.6272 0.2958 0.6905
28 O 0.6272 0.7042 0.6905
29 O 0.6312 0.5000 0.9773
30 O 0.6590 0.0000 0.4748
31 O 0.6644 0.0000 0.9868
32 O 0.6756 0.2451 0.2404
33 O 0.6756 0.7549 0.2404
34 O 0.9282 0.5000 0.6975
35 O 0.9393 0.0000 0.7451
36 O 0.9464 0.5000 0.2617
37 O 0.9502 0.0000 0.2244

Largest 12 diffraction maxima, sorted by position, 10° ≤ 2θ ≤ 80°:
- 22.85°, rel. 17
- 23.11°, rel. 15
- 32.53°, rel. 58
- 32.70°, rel. 100
- 32.79°, rel. 31
- 46.67°, rel. 56
- 47.24°, rel. 22
- 58.10°, rel. 23
- 58.23°, rel. 21
- 58.44°, rel. 10
- 68.13°, rel. 14
- 68.58°, rel. 12


Record 4
Starting from a crystal structure in the Materials Project, relaxed with GGA+U, the X-ray powder pattern of Ca4Mn3CrO12 was calculated for Cu Kα (λ = 1.5418 Å).
No peak broadening, texture or thermal motion is included.

Cell lengths 7.5869, 7.5869, 3.8344 Å; angles 90.00, 90.00, 90.00 degrees
Atoms (fractional coordinates):
1 Ca 0.2494 0.2494 0.0000
2 Ca 0.2494 0.7506 0.0000
3 Ca 0.7506 0.2494 0.0000
4 Ca 0.7506 0.7506 0.0000
5 Mn 0.0000 0.0000 0.5000
6 Mn 0.0000 0.5000 0.5000
7 Mn 0.5000 0.0000 0.5000
8 Cr 0.5000 0.5000 0.5000
9 O 0.0000 0.0000 0.0000
10 O 0.0000 0.2502 0.5000
11 O 0.0000 0.5000 0.0000
12 O 0.0000 0.7498 0.5000
13 O 0.2502 0.0000 0.5000
14 O 0.2504 0.5000 0.5000
15 O 0.5000 0.0000 0.0000
16 O 0.5000 0.2504 0.5000
17 O 0.5000 0.5000 0.0000
18 O 0.5000 0.7496 0.5000
19 O 0.7498 0.0000 0.5000
20 O 0.7496 0.5000 0.5000

Largest 12 diffraction maxima, sorted by position, 10° ≤ 2θ ≤ 80°:
- 23.20°, rel. 9
- 23.45°, rel. 18
- 33.22°, rel. 100
- 33.40°, rel. 49
- 41.07°, rel. 10
- 47.42°, rel. 27
- 47.96°, rel. 52
- 59.24°, rel. 17
- 59.59°, rel. 34
- 69.74°, rel. 28
- 70.17°, rel. 13
- 79.06°, rel. 7